[1]
Theoretical powder diffraction line list
Compound: Cs3Sb5Se9
Radiation: Cu Ka
Structure: a DFT-relaxed cell (GGA-PBE, the Materials Project)
Lines closer than 0.1° are merged.

Principal peaks in the range 5 to 70 degrees two-theta, by intensity:
- 2θ 30.47, intensity 1000
- 2θ 26.06, intensity 309
- 2θ 27.98, intensity 283
- 2θ 20.06, intensity 229
- 2θ 6.65, intensity 209
- 2θ 29.21, intensity 197
- 2θ 43.59, intensity 197
- 2θ 46.37, intensity 185
- 2θ 43.67, intensity 181
- 2θ 32.23, intensity 165

a = 14.1733 Å, b = 14.1733 Å, c = 9.7745 Å
α = 95.59°, β = 95.59°, γ = 139.57°
Fractional coordinates of all 34 atoms:
Cs 0.0562 0.4877 0.7412
Cs 0.0841 0.9159 0.0000
Cs 0.4877 0.0562 0.7412
Cs 0.5123 0.9438 0.2588
Cs 0.9159 0.0841 0.0000
Cs 0.9438 0.5123 0.2588
Sb 0.0774 0.9226 0.5000
Sb 0.2187 0.4626 0.3405
Sb 0.3671 0.3671 0.6090
Sb 0.4271 0.5729 0.0000
Sb 0.4626 0.2187 0.3405
Sb 0.5374 0.7813 0.6595
Sb 0.5729 0.4271 0.0000
Sb 0.6329 0.6329 0.3910
Sb 0.7813 0.5374 0.6595
Sb 0.9226 0.0774 0.5000
Se 0.0624 0.7468 0.6521
Se 0.1277 0.1277 0.3718
Se 0.1846 0.5002 0.0964
Se 0.1947 0.3472 0.7263
Se 0.2532 0.9376 0.3479
Se 0.3067 0.6933 0.5000
Se 0.3472 0.1947 0.7263
Se 0.3752 0.3752 0.1299
Se 0.5002 0.1846 0.0964
Se 0.4998 0.8154 0.9036
Se 0.6248 0.6248 0.8701
Se 0.6528 0.8053 0.2737
Se 0.6933 0.3067 0.5000
Se 0.7468 0.0624 0.6521
Se 0.8053 0.6528 0.2737
Se 0.8154 0.4998 0.9036
Se 0.8723 0.8723 0.6282
Se 0.9376 0.2532 0.3479

---

[2]
Theoretical powder diffraction line list
Compound: LaFeGe
Radiation: Cu Ka
Structure: a DFT-relaxed cell (GGA-PBE, the Materials Project)
Lines closer than 0.1° are merged.

Principal peaks in the range 5 to 70 degrees two-theta, by intensity:
- 2θ 32.14, intensity 1000
- 2θ 42.73, intensity 397
- 2θ 61.60, intensity 261
- 2θ 54.46, intensity 219
- 2θ 42.17, intensity 138
- 2θ 24.29, intensity 120
- 2θ 49.26, intensity 37
- 2θ 49.76, intensity 18
- 2θ 67.22, intensity 15
- 2θ 67.63, intensity 15

a = 4.2318 Å, b = 4.2318 Å, c = 4.2858 Å
α = 90.00°, β = 90.00°, γ = 120.00°
Fractional coordinates of all 3 atoms:
La 0.0000 0.0000 0.0000
Fe 0.3333 0.6667 0.5000
Ge 0.6667 0.3333 0.5000

---

[3]
Theoretical powder diffraction line list
Compound: TmLuAu2
Radiation: Cu Ka
Structure: a DFT-relaxed cell (GGA-PBE, the Materials Project)
Lines closer than 0.1° are merged.

Principal peaks in the range 5 to 70 degrees two-theta, by intensity:
- 2θ 35.78, intensity 1000
- 2θ 64.29, intensity 370
- 2θ 51.50, intensity 179
- 2θ 25.09, intensity 6

a = 5.0194 Å, b = 5.0194 Å, c = 5.0194 Å
α = 60.00°, β = 60.00°, γ = 60.00°
Fractional coordinates of all 4 atoms:
Tm 0.0000 0.0000 0.0000
Lu 0.5000 0.5000 0.5000
Au 0.2500 0.2500 0.2500
Au 0.7500 0.7500 0.7500

---

[4]
Theoretical powder diffraction line list
Compound: Al5Rh2
Radiation: Cu Ka
Structure: a DFT-relaxed cell (GGA-PBE, the Materials Project)
Lines closer than 0.1° are merged.

Principal peaks in the range 5 to 70 degrees two-theta, by intensity:
- 2θ 28.27, intensity 1000
- 2θ 43.24, intensity 768
- 2θ 41.55, intensity 631
- 2θ 40.94, intensity 530
- 2θ 22.50, intensity 515
- 2θ 45.64, intensity 363
- 2θ 12.86, intensity 302
- 2θ 25.88, intensity 186
- 2θ 45.93, intensity 179
- 2θ 49.07, intensity 156

a = 7.9512 Å, b = 7.9512 Å, c = 7.9042 Å
α = 90.00°, β = 90.00°, γ = 120.00°
Fractional coordinates of all 28 atoms:
Al 0.0000 0.0000 0.0000
Al 0.0000 0.0000 0.5000
Al 0.0576 0.5288 0.2500
Al 0.1928 0.3856 0.5580
Al 0.1928 0.3856 0.9420
Al 0.1928 0.8072 0.5580
Al 0.1928 0.8072 0.9420
Al 0.3856 0.1928 0.0580
Al 0.3856 0.1928 0.4420
Al 0.4712 0.5288 0.2500
Al 0.4712 0.9424 0.2500
Al 0.5288 0.0576 0.7500
Al 0.5288 0.4712 0.7500
Al 0.6144 0.8072 0.5580
Al 0.6144 0.8072 0.9420
Al 0.8072 0.1928 0.0580
Al 0.8072 0.1928 0.4420
Al 0.8072 0.6144 0.0580
Al 0.8072 0.6144 0.4420
Al 0.9424 0.4712 0.7500
Rh 0.1298 0.2595 0.2500
Rh 0.1298 0.8702 0.2500
Rh 0.2595 0.1298 0.7500
Rh 0.3333 0.6667 0.7500
Rh 0.6667 0.3333 0.2500
Rh 0.7405 0.8702 0.2500
Rh 0.8702 0.1298 0.7500
Rh 0.8702 0.7405 0.7500

---

[5]
Theoretical powder diffraction line list
Compound: SnO2
Radiation: Cu Ka
Structure: a DFT-relaxed cell (GGA-PBE, the Materials Project)
Lines closer than 0.1° are merged.

Principal peaks in the range 5 to 70 degrees two-theta, by intensity:
- 2θ 32.61, intensity 1000
- 2θ 29.68, intensity 666
- 2θ 57.47, intensity 409
- 2θ 45.04, intensity 369
- 2θ 27.80, intensity 297
- 2θ 59.70, intensity 266
- 2θ 33.79, intensity 265
- 2θ 44.30, intensity 233
- 2θ 24.35, intensity 224
- 2θ 60.26, intensity 197

a = 5.3052 Å, b = 3.5715 Å, c = 7.3103 Å
α = 90.00°, β = 90.00°, γ = 90.00°
Fractional coordinates of all 12 atoms:
Sn 0.2336 0.2500 0.0831
Sn 0.2664 0.7500 0.5831
Sn 0.7336 0.2500 0.4169
Sn 0.7664 0.7500 0.9169
O 0.0296 0.7500 0.1327
O 0.1161 0.2500 0.3857
O 0.3839 0.7500 0.8857
O 0.4704 0.2500 0.6327
O 0.5296 0.7500 0.3673
O 0.6161 0.2500 0.1143
O 0.8839 0.7500 0.6143
O 0.9704 0.2500 0.8673

---

[6]
Theoretical powder diffraction line list
Compound: Hf2CoIr
Radiation: Cu Ka
Structure: a DFT-relaxed cell (GGA-PBE, the Materials Project)
Lines closer than 0.1° are merged.

Principal peaks in the range 5 to 70 degrees two-theta, by intensity:
- 2θ 39.65, intensity 1000
- 2θ 57.32, intensity 171
- 2θ 23.97, intensity 106
- 2θ 46.87, intensity 57
- 2θ 27.75, intensity 35
- 2θ 63.02, intensity 25
- 2θ 64.86, intensity 14
- 2θ 49.09, intensity 10

a = 4.5461 Å, b = 4.5461 Å, c = 4.5461 Å
α = 60.00°, β = 60.00°, γ = 60.00°
Fractional coordinates of all 4 atoms:
Hf 0.2500 0.2500 0.2500
Hf 0.7500 0.7500 0.7500
Co 0.0000 0.0000 0.0000
Ir 0.5000 0.5000 0.5000

---

[7]
Theoretical powder diffraction line list
Compound: BaCaCeNbO6
Radiation: Cu Ka
Structure: a DFT-relaxed cell (GGA-PBE, the Materials Project)
Lines closer than 0.1° are merged.

Principal peaks in the range 5 to 70 degrees two-theta, by intensity:
- 2θ 29.66, intensity 1000
- 2θ 29.99, intensity 630
- 2θ 42.55, intensity 363
- 2θ 29.75, intensity 348
- 2θ 52.96, intensity 286
- 2θ 52.48, intensity 201
- 2θ 42.77, intensity 177
- 2θ 53.14, intensity 149
- 2θ 52.73, intensity 140
- 2θ 62.32, intensity 98

a = 5.9569 Å, b = 6.0298 Å, c = 8.5023 Å
α = 90.50°, β = 90.42°, γ = 90.25°
Fractional coordinates of all 20 atoms:
Ba 0.0051 0.0338 0.2507
Ba 0.9949 0.9662 0.7493
Ca 0.4896 0.5445 0.2536
Ca 0.5104 0.4555 0.7464
Ce 0.0000 0.5000 0.5000
Ce 0.5000 0.0000 0.0000
Nb 0.0000 0.5000 0.0000
Nb 0.5000 0.0000 0.5000
O 0.1078 0.5017 0.7683
O 0.1952 0.7708 0.0411
O 0.2265 0.8009 0.4672
O 0.2771 0.3120 0.0595
O 0.3182 0.2823 0.4446
O 0.4337 0.0569 0.7336
O 0.5663 0.9431 0.2664
O 0.6818 0.7177 0.5554
O 0.7229 0.6880 0.9405
O 0.7735 0.1991 0.5328
O 0.8048 0.2292 0.9589
O 0.8922 0.4983 0.2317

---

[8]
Theoretical powder diffraction line list
Compound: SiO2
Radiation: Cu Ka
Structure: a DFT-relaxed cell (GGA-PBE, the Materials Project)
Lines closer than 0.1° are merged.

Principal peaks in the range 5 to 70 degrees two-theta, by intensity:
- 2θ 7.67, intensity 1000
- 2θ 9.25, intensity 610
- 2θ 12.56, intensity 390
- 2θ 23.14, intensity 327
- 2θ 25.27, intensity 287
- 2θ 24.65, intensity 214
- 2θ 28.07, intensity 206
- 2θ 12.25, intensity 188
- 2θ 16.13, intensity 166
- 2θ 15.37, intensity 130

a = 12.5697 Å, b = 12.5697 Å, c = 12.5697 Å
α = 144.90°, β = 109.82°, γ = 80.96°
Fractional coordinates of all 54 atoms:
Si 0.0407 0.0317 0.5970
Si 0.0407 0.4437 0.0090
Si 0.0495 0.0495 0.0000
Si 0.1510 0.8504 0.3006
Si 0.1686 0.4620 0.2934
Si 0.1686 0.8752 0.7066
Si 0.2029 0.0000 0.2029
Si 0.3936 0.3883 0.5928
Si 0.3936 0.8008 0.0053
Si 0.4208 0.9208 0.5000
Si 0.4347 0.0317 0.9910
Si 0.4347 0.4437 0.4030
Si 0.5399 0.3339 0.7940
Si 0.5399 0.7460 0.2060
Si 0.5498 0.8504 0.6994
Si 0.7954 0.3883 0.9947
Si 0.7954 0.8008 0.4072
Si 0.7971 0.0000 0.7971
O 0.0527 0.2592 0.7936
O 0.0818 0.6294 0.1004
O 0.0818 0.9814 0.4524
O 0.0905 0.9998 0.0907
O 0.0976 0.2745 0.1769
O 0.0976 0.9207 0.8231
O 0.1240 0.4636 0.1578
O 0.1240 0.9662 0.6603
O 0.1461 0.6461 0.5000
O 0.1564 0.9197 0.2367
O 0.2796 0.2157 0.4164
O 0.2796 0.8632 0.0639
O 0.2804 0.8706 0.4098
O 0.3058 0.4636 0.3397
O 0.3058 0.9662 0.8422
O 0.3556 0.5765 0.7792
O 0.4425 0.4241 0.5182
O 0.4425 0.9244 0.0185
O 0.4608 0.8706 0.5902
O 0.4656 0.2592 0.2064
O 0.4691 0.1455 0.6763
O 0.4691 0.7928 0.3237
O 0.4964 0.3372 0.6591
O 0.4964 0.8373 0.1592
O 0.5157 0.5157 0.0000
O 0.5290 0.6294 0.5476
O 0.5290 0.9814 0.8996
O 0.6781 0.3372 0.8408
O 0.6781 0.8373 0.3409
O 0.6829 0.9197 0.7633
O 0.7973 0.5765 0.2208
O 0.7993 0.2157 0.9361
O 0.7993 0.8632 0.5836
O 0.9059 0.4241 0.9815
O 0.9059 0.9244 0.4818
O 0.9091 0.9998 0.9093